The following is a calculated powder XRD pattern of TmB3Rh3. It was derived from DFT lattice parameters and positions (GGA-PBE), using λ = 1.5418 Å (Cu Kα).
Kinematic intensities with the Lorentz-polarization factor, no thermal factor.

Top 10 peaks for 2θ from 10° to 90°, by angle:
two_theta	I_rel	hkl
22.1	20	1 1 1
31.4	92	2 1 1
36.4	95	2 2 0
40.9	100	3 1 0
43.0	24	3 1 1
48.9	63	3 2 1
65.6	22	4 2 2
68.6	52	5 0 1
74.5	15	5 2 1
85.9	16	5 3 2

Cell and atoms:
```
data_TmB3Rh3
_cell_length_a 6.972
_cell_length_b 6.972
_cell_length_c 6.972
_cell_angle_alpha 90.00
_cell_angle_beta 90.00
_cell_angle_gamma 90.00
_symmetry_space_group_name_H-M 'P 21 3'
_symmetry_Int_Tables_number 198
_symmetry_space_group_name_Hall 'P 2ac 2ab 3'
loop_
_atom_site_label
_atom_site_type_symbol
_atom_site_fract_x
_atom_site_fract_y
_atom_site_fract_z
Tm1 Tm 0.050 0.450 0.550
B1 B 0.029 0.821 0.557
Rh1 Rh 0.092 0.592 0.908
Rh2 Rh 0.182 0.182 0.182
Rh3 Rh 0.216 0.784 0.284
```